Starting from DFT lattice parameters and positions (GGA+U), the powder X-ray diffraction pattern of Fe10O19F was computed for Cu Ka.
Intensities are scaled so that the largest is 100.

Top 12 peaks for 2θ from 10° to 90°, sorted by position:
2θ = 27.2°, I 98
2θ = 27.5°, I 97
2θ = 36.0°, I 100
2θ = 39.1°, I 21
2θ = 41.0°, I 12
2θ = 41.2°, I 12
2θ = 53.9°, I 57
2θ = 54.3°, I 56
2θ = 56.0°, I 15
2θ = 56.9°, I 15
2θ = 62.5°, I 15
2θ = 68.8°, I 39

Crystal structure
Cell lengths 4.6124, 7.5236, 9.6863 Å; angles 70.06, 89.30, 89.48 degrees
Positions (direct):
Fe (0.0000, 0.0000, 0.0000)
Fe (0.0001, 0.4019, 0.7968)
Fe (0.0039, 0.8024, 0.6009)
Fe (0.4922, 0.3016, 0.0953)
Fe (0.4942, 0.8996, 0.2975)
Fe (0.5010, 0.6995, 0.9012)
Fe (0.5103, 0.5103, 0.4998)
Fe (0.5145, 0.0973, 0.7083)
Fe (0.9791, 0.1974, 0.3923)
Fe (0.9989, 0.6005, 0.2008)
O (0.1852, 0.3621, 0.2226)
O (0.1900, 0.9642, 0.4227)
O (0.1915, 0.1620, 0.8207)
O (0.1928, 0.7611, 0.0257)
O (0.1938, 0.5624, 0.6219)
O (0.3036, 0.0621, 0.1212)
O (0.3079, 0.4639, 0.9216)
O (0.3111, 0.6640, 0.3229)
O (0.3142, 0.8604, 0.7276)
O (0.6780, 0.1373, 0.2706)
O (0.6855, 0.5373, 0.0751)
O (0.6908, 0.3416, 0.6740)
O (0.6959, 0.7482, 0.4736)
O (0.6972, 0.9314, 0.8831)
O (0.8057, 0.4375, 0.3761)
O (0.8071, 0.2392, 0.9740)
O (0.8082, 0.0428, 0.5761)
O (0.8094, 0.8380, 0.1778)
O (0.8105, 0.6389, 0.7753)
F (0.3034, 0.2627, 0.5199)